This entry pairs a crystal structure of TbDy4Y2Ho2 with its theoretical PXRD pattern. Radiation: Cu Kα (λ = 1.5418 Å). Structure: a structure optimized by DFT (PBE).
No peak broadening, texture or thermal motion is included.

Structural model:
a b c (Å): 18.592 3.578 9.509
angles (deg): 90.00 115.75 90.00
Space group C2/m (No. 12)
One atom of each set of equivalent atoms:
Tb 0.000 0.000 0.000
Dy 0.018 0.500 0.333
Dy 0.185 0.000 0.334
Y 0.148 0.000 0.666
Ho 0.167 0.500 0.001

The 8 most intense peaks (2θ from 10° to 90°), sorted by position:
2theta	d [Å]	Rel. int.
29.0	3.076	41.0
31.3	2.855	48.8
32.1	2.791	100.0
33.8	2.654	87.3
51.1	1.789	37.3
55.1	1.666	21.5
58.4	1.579	18.1
61.1	1.516	43.4